For Pm7Y6Ho16, a PBE-relaxed structure gives the calculated X-ray powder pattern in this record (Cu Kα X-rays).
Neutral-atom scattering factors, no anomalous dispersion.

Largest 8 diffraction maxima, by angle, 2θ = 5–70°:
2θ (°), I_rel
11.21, 8
29.40, 12
32.07, 100
33.58, 10
45.99, 13
57.16, 24
58.13, 7
67.07, 7

Crystal structure
Lattice parameters (Å, degrees): 15.7885 15.7885 15.7885 90.00 90.00 90.00
Space group Fm-3m (No. 225)
Unique sites:
Pm 0.0000 0.0000 0.0000 (multiplicity 4)
Pm 0.0000 0.2500 0.2500 (multiplicity 24)
Y 0.0000 0.0000 0.2717 (multiplicity 24)
Ho 0.1258 0.1258 0.1258 (multiplicity 32)
Ho 0.1526 0.1526 0.3474 (multiplicity 32)